Record 1
Starting from a structure optimized by DFT (PBE), the XRD peak list of Cs2NaAu was calculated for Cu Kα X-rays.
Peak positions follow from Bragg's law for the DFT cell and can differ from measured ones.

Atomic structure:
Cell: 5.2769 5.2769 28.3465 Å, 90.00 90.00 120.00°
Space group R3m (No. 160, hexagonal axes)
Inequivalent atoms, fractional coordinates:
Cs (0.0000, 0.0000, 0.0000) (multiplicity 3)
Cs (0.0000, 0.0000, 0.1758) (multiplicity 3)
Na (0.0000, 0.0000, 0.4211) (multiplicity 3)
Au (0.0000, 0.0000, 0.7550) (multiplicity 3)

Largest 10 diffraction maxima, in order of rising 2θ, 10° ≤ 2θ ≤ 90°:
19.68 deg, d 4.512, rel. 42, (1 0 1); 20.42 deg, d 4.349, rel. 24, (0 1 2); 23.16 deg, d 3.841, rel. 75, (1 0 4); 25.03 deg, d 3.558, rel. 100, (0 1 5); 29.47 deg, d 3.031, rel. 51, (1 0 7); 33.98 deg, d 2.638, rel. 72, (1 1 0); 42.66 deg, d 2.119, rel. 24, (2 0 5); 44.81 deg, d 2.023, rel. 24, (1 1 9); 51.96 deg, d 1.760, rel. 40, (1 1 12); 55.63 deg, d 1.652, rel. 32, (1 2 5)

---

Record 2
Starting from a structure optimized by DFT (PBE), the XRD peak list of Pr6PaSe8 was calculated for Cu Kα X-rays.
Peak positions follow from Bragg's law for the DFT cell and can differ from measured ones.

Atomic structure:
Cell: 12.0051 12.0051 12.0051 Å, 90.00 90.00 90.00°
Space group Fm-3m (No. 225)
Inequivalent atoms, fractional coordinates:
Pr (0.0000, 0.2500, 0.2500) (multiplicity 24)
Pa (0.0000, 0.0000, 0.0000) (multiplicity 4)
Se (0.0000, 0.0000, 0.2458) (multiplicity 24)
Se (0.2500, 0.2500, 0.2500) (multiplicity 8)

Largest 10 diffraction maxima, in order of rising 2θ, 10° ≤ 2θ ≤ 90°:
12.77 deg, d 6.931, rel. 18, (1 1 1); 24.59 deg, d 3.620, rel. 11, (3 1 1); 25.71 deg, d 3.466, rel. 12, (2 2 2); 29.77 deg, d 3.001, rel. 100, (4 0 0); 42.60 deg, d 2.122, rel. 75, (4 4 0); 50.42 deg, d 1.810, rel. 6, (6 2 2); 52.83 deg, d 1.733, rel. 27, (4 4 4); 61.83 deg, d 1.501, rel. 12, (8 0 0); 70.11 deg, d 1.342, rel. 34, (8 4 0); 77.98 deg, d 1.225, rel. 25, (8 4 4)

---

Record 3
Starting from a structure optimized by DFT (PBE), the XRD peak list of Ba3Pd4Au2 was calculated for Cu Kα X-rays.
Peak positions follow from Bragg's law for the DFT cell and can differ from measured ones.

Atomic structure:
Cell: 4.6694 4.6694 26.4197 Å, 90.00 90.00 120.00°
Space group P3m1 (No. 156)
Inequivalent atoms, fractional coordinates:
Ba (0.0000, 0.0000, 0.0000) (multiplicity 1)
Ba (0.0000, 0.0000, 0.1616) (multiplicity 1)
Ba (0.0000, 0.0000, 0.3318) (multiplicity 1)
Ba (0.0000, 0.0000, 0.4948) (multiplicity 1)
Ba (0.0000, 0.0000, 0.6649) (multiplicity 1)
Ba (0.0000, 0.0000, 0.8264) (multiplicity 1)
Pd (0.3333, 0.6667, 0.0797) (multiplicity 1)
Pd (0.3333, 0.6667, 0.2466) (multiplicity 1)
Pd (0.3333, 0.6667, 0.4133) (multiplicity 1)
Pd (0.3333, 0.6667, 0.5799) (multiplicity 1)
Pd (0.3333, 0.6667, 0.7468) (multiplicity 1)
Pd (0.6667, 0.3333, 0.0796) (multiplicity 1)
Pd (0.6667, 0.3333, 0.4133) (multiplicity 1)
Pd (0.6667, 0.3333, 0.7468) (multiplicity 1)
Au (0.3333, 0.6667, 0.9128) (multiplicity 1)
Au (0.6667, 0.3333, 0.2466) (multiplicity 1)
Au (0.6667, 0.3333, 0.5798) (multiplicity 1)
Au (0.6667, 0.3333, 0.9137) (multiplicity 1)

Largest 10 diffraction maxima, in order of rising 2θ, 10° ≤ 2θ ≤ 90°:
20.17 deg, d 4.403, rel. 13, (0 0 6); 30.00 deg, d 2.978, rel. 100, (0 1 6); 38.56 deg, d 2.335, rel. 58, (1 1 0); 40.99 deg, d 2.202, rel. 16, (0 0 12); 43.89 deg, d 2.063, rel. 10, (1 1 6); 49.61 deg, d 1.837, rel. 24, (2 0 6); 57.54 deg, d 1.602, rel. 35, (1 1 12); 64.54 deg, d 1.444, rel. 22, (1 2 6); 69.77 deg, d 1.348, rel. 10, (3 0 0); 84.23 deg, d 1.150, rel. 12, (3 0 12)

---

> Which formula does entry 3 have?

Ba3Pd4Au2